No. 1
Ho12TlCo6: computed XRD peak list (Cu Kα (λ = 1.5418 Å)), based on a structure optimized by DFT (PBE).
Lines closer than 0.1° are merged.

Structure:
Cell lengths 9.596, 9.596, 9.596 Å; angles 90.00, 90.00, 90.00 degrees
Space group Im-3 (No. 204)
One atom of each set of equivalent atoms:
Ho (0.000, 0.303, 0.194) (multiplicity 24)
Tl (0.000, 0.000, 0.000) (multiplicity 2)
Co (0.000, 0.113, 0.500) (multiplicity 12)

Top 10 peaks for 2θ from 5° to 70°, sorted by position:
2theta  d [Å]  intensity  (hkl)
29.4  3.035  47  3 0 1
32.3  2.770  58  2 2 2
35.0  2.565  100  3 1 2
37.5  2.399  22  4 0 0
39.9  2.262  8  3 3 0
48.4  1.882  24  5 0 1
55.9  1.646  37  5 3 0
57.6  1.599  12  6 0 0
59.4  1.557  40  5 2 3
69.2  1.357  21  5 3 4


No. 2
LaNdP2Pd2O2: computed XRD peak list (Cu Kα (λ = 1.5418 Å)), based on a structure optimized by DFT (PBE).
Lines closer than 0.1° are merged.

Structure:
Cell lengths 4.140, 4.140, 8.154 Å; angles 90.00, 90.00, 90.00 degrees
Space group P4mm (No. 99)
One atom of each set of equivalent atoms:
La (0.000, 0.000, 0.000) (multiplicity 1)
Nd (0.500, 0.500, 0.285) (multiplicity 1)
P (0.000, 0.000, 0.488) (multiplicity 1)
P (0.500, 0.500, 0.789) (multiplicity 1)
Pd (0.000, 0.500, 0.638) (multiplicity 2)
O (0.000, 0.500, 0.144) (multiplicity 2)

Top 10 peaks for 2θ from 5° to 70°, sorted by position:
2theta  d [Å]  intensity  (hkl)
24.1  3.691  46  1 0 1
30.8  2.905  100  1 0 2
32.5  2.755  81  1 1 1
33.0  2.718  27  0 0 3
37.8  2.378  56  1 1 2
43.7  2.070  59  2 0 0
54.4  1.686  39  2 1 2
54.9  1.673  51  1 1 4
55.8  1.647  24  2 0 3
63.6  1.464  19  2 2 0


No. 3
Cu7Ag3: computed XRD peak list (Cu Kα (λ = 1.5418 Å)), based on a structure optimized by DFT (PBE).
Lines closer than 0.1° are merged.

Structure:
Cell lengths 14.282, 2.727, 7.279 Å; angles 90.00, 104.74, 90.00 degrees
Space group Cm (No. 8)
One atom of each set of equivalent atoms:
Cu (0.000, 0.000, 0.000) (multiplicity 2)
Cu (0.000, 0.000, 0.476) (multiplicity 2)
Cu (0.097, 0.500, 0.287) (multiplicity 2)
Cu (0.192, 0.000, 0.097) (multiplicity 2)
Cu (0.194, 0.000, 0.572) (multiplicity 2)
Cu (0.407, 0.000, 0.692) (multiplicity 2)
Cu (0.410, 0.000, 0.192) (multiplicity 2)
Ag (0.098, 0.500, 0.786) (multiplicity 2)
Ag (0.302, 0.500, 0.890) (multiplicity 2)
Ag (0.303, 0.500, 0.388) (multiplicity 2)

Top 10 peaks for 2θ from 5° to 70°, sorted by position:
2theta  d [Å]  intensity  (hkl)
25.3  3.519  7  2 0 -2
31.3  2.855  4  2 0 2
33.5  2.676  3  1 1 0
38.4  2.347  3  3 1 0
41.0  2.200  100  4 0 2
41.4  2.183  100  1 1 -2
46.8  1.941  68  5 1 0
50.1  1.820  27  2 0 -4
67.9  1.381  10  10 0 0
68.8  1.364  10  0 2 0


No. 4
InTcTe3Au: computed XRD peak list (Cu Kα (λ = 1.5418 Å)), based on a structure optimized by DFT (PBE).
Lines closer than 0.1° are merged.

Structure:
Cell lengths 3.867, 15.688, 10.696 Å; angles 90.00, 90.00, 90.00 degrees
Space group Cmcm (No. 63)
One atom of each set of equivalent atoms:
In (0.000, 0.188, 0.250) (multiplicity 4)
Tc (0.000, 0.500, 0.000) (multiplicity 4)
Te (0.000, 0.121, 0.519) (multiplicity 8)
Te (0.000, 0.464, 0.750) (multiplicity 4)
Au (0.000, 0.182, 0.750) (multiplicity 4)

Top 10 peaks for 2θ from 5° to 70°, sorted by position:
2theta  d [Å]  intensity  (hkl)
20.1  4.419  26  0 2 2
24.2  3.682  11  0 4 1
28.7  3.109  100  1 3 0
33.5  2.674  45  0 0 4
40.7  2.217  49  1 5 2
44.7  2.027  56  1 3 4
47.0  1.933  19  2 0 0
49.5  1.841  23  0 8 2
58.9  1.567  18  2 0 4
64.8  1.439  10  1 5 6


No. 5
HfTlO3: computed XRD peak list (Cu Kα (λ = 1.5418 Å)), based on a structure optimized by DFT (PBE).
Lines closer than 0.1° are merged.

Structure:
Cell lengths 5.6112, 5.6112, 16.2161 Å; angles 90.00, 90.00, 120.00 degrees
Space group R-3 (No. 148, hexagonal axes)
One atom of each set of equivalent atoms:
Hf (0.0000, 0.0000, 0.1567) (multiplicity 6)
Tl (0.0000, 0.0000, 0.3674) (multiplicity 6)
O (0.0122, 0.3915, 0.4294) (multiplicity 18)

Top 10 peaks for 2θ from 5° to 70°, sorted by position:
2theta  d [Å]  intensity  (hkl)
21.3  4.168  19  0 1 2
28.7  3.113  100  1 0 4
31.9  2.806  95  1 1 0
33.2  2.699  20  0 0 6
43.4  2.084  35  0 2 4
46.7  1.946  37  1 1 6
54.9  1.673  35  2 1 4
56.8  1.620  25  3 0 0
61.1  1.516  13  2 -1 9
66.7  1.403  13  2 2 0